Record 1
Structure and simulated PXRD pattern of LaPrUN4 (a cell relaxed with PBE; CuKα).
Lines closer than 0.1° are merged.

```
14
Lattice="3.0057 -6.4551 0.0000 3.0057 6.4551 0.0000 0.0000 0.0000 6.0146" Properties=species:S:1:pos:R:3 pbc="T T T"
La 3.0057 5.1652 4.5109
La 3.0057 -5.1652 1.5036
Pr 3.0057 1.3161 4.5109
Pr 3.0057 -1.3161 1.5036
U 3.0057 3.2207 1.5036
U 3.0057 -3.2207 4.5109
N 1.5029 3.2276 0.0000
N 1.5029 3.2276 3.0073
N 3.0057 5.4387 1.5036
N 3.0057 1.0126 1.5036
N 1.5029 -3.2276 0.0000
N 1.5029 -3.2276 3.0073
N 3.0057 -1.0126 4.5109
N 3.0057 -5.4387 4.5109
```

Main lines, sorted by position (2θ from 10° to 90°):
13.72 deg, d = 6.455 Å, I = 17; 29.53 deg, d = 3.025 Å, I = 100; 29.72 deg, d = 3.007 Å, I = 59; 40.89 deg, d = 2.207 Å, I = 12; 42.52 deg, d = 2.126 Å, I = 27; 52.28 deg, d = 1.750 Å, I = 19; 52.62 deg, d = 1.739 Å, I = 42; 61.30 deg, d = 1.512 Å, I = 14; 69.91 deg, d = 1.346 Å, I = 14; 85.35 deg, d = 1.137 Å, I = 11

Record 2
Structure and simulated PXRD pattern of Ac2Sb3AsRh4 (a cell relaxed with PBE; CuKα).
Lines closer than 0.1° are merged.

```
10
Lattice="4.6058 0.0000 0.0000 0.0000 4.6058 0.0000 0.0000 0.0000 10.4495" Properties=species:S:1:pos:R:3 pbc="T T T"
Ac 0.0000 2.3029 2.5644
Ac 2.3029 0.0000 7.8851
Sb 0.0000 0.0000 0.0000
Sb 0.0000 2.3029 6.6060
Sb 2.3029 0.0000 3.8435
As 2.3029 2.3029 0.0000
Rh 0.0000 0.0000 5.2248
Rh 0.0000 2.3029 9.2491
Rh 2.3029 0.0000 1.2004
Rh 2.3029 2.3029 5.2248
```

Main lines, sorted by position (2θ from 10° to 90°):
27.39 deg, d = 3.257 Å, I = 25; 32.22 deg, d = 2.778 Å, I = 82; 32.39 deg, d = 2.764 Å, I = 100; 39.12 deg, d = 2.303 Å, I = 71; 47.79 deg, d = 1.903 Å, I = 26; 51.55 deg, d = 1.773 Å, I = 44; 56.51 deg, d = 1.628 Å, I = 24; 60.26 deg, d = 1.536 Å, I = 18; 63.40 deg, d = 1.467 Å, I = 22; 66.66 deg, d = 1.403 Å, I = 25

Record 3
Structure and simulated PXRD pattern of Ca2HN (a cell relaxed with PBE; CuKα).
Lines closer than 0.1° are merged.

```
4
Lattice="3.5119 0.0000 0.0000 -1.7559 3.0414 0.0000 0.0000 0.0000 6.1615" Properties=species:S:1:pos:R:3 pbc="T T T"
Ca 0.0000 2.0276 1.2800
Ca 1.7559 1.0138 4.8815
H 0.0000 0.0000 3.0808
N 0.0000 0.0000 0.0000
```

Main lines, sorted by position (2θ from 10° to 90°):
14.38 deg, d = 6.162 Å, I = 35; 28.98 deg, d = 3.081 Å, I = 15; 29.37 deg, d = 3.041 Å, I = 10; 32.84 deg, d = 2.727 Å, I = 100; 41.73 deg, d = 2.164 Å, I = 38; 52.09 deg, d = 1.756 Å, I = 23; 53.86 deg, d = 1.702 Å, I = 18; 60.71 deg, d = 1.526 Å, I = 11; 62.96 deg, d = 1.476 Å, I = 13; 86.03 deg, d = 1.130 Å, I = 10